Simulated X-ray diffraction stick pattern of K2Co2Se3O9 for Cu Kα X-rays, from a PBE+U-relaxed structure.
Intensities are scaled so that the largest is 100.

Most intense lines, 2θ from 15° to 90°, by angle:
d (Å)	I_rel	index
4.462	17	0 0 4
3.279	81	1 0 4
2.872	57	1 0 5
2.791	100	1 1 0
2.366	13	1 1 4
2.035	34	1 1 6
2.026	11	1 0 8
2.001	20	2 0 5
1.691	19	2 1 4
1.626	18	2 1 5
1.611	18	3 0 0
1.395	22	2 2 0

Crystal structure
```
data_K2Co2Se3O9
_space_group_name_H-M_alt 'P 63 m c'
_space_group_IT_number 186
_space_group_name_Hall 'P 6c -2c'
_cell_length_a 5.5819
_cell_length_b 5.5819
_cell_length_c 17.8496
_cell_angle_alpha 90.00
_cell_angle_beta 90.00
_cell_angle_gamma 120.00
loop_
_atom_site_label
_atom_site_type_symbol
_atom_site_fract_x
_atom_site_fract_y
_atom_site_fract_z
K1 K 0.3333 0.6667 0.0000
K2 K 0.3333 0.6667 0.4238
Co1 Co 0.3333 0.6667 0.6371
Co2 Co 0.3333 0.6667 0.8055
Se1 Se 0.0000 0.0000 0.1094
Se2 Se 0.0000 0.0000 0.3274
Se3 Se 0.3333 0.6667 0.1849
O1 O 0.0025 0.5012 0.2227
O2 O 0.1598 0.3195 0.8722
O3 O 0.1609 0.3218 0.5666
```